Diffraction record for Li6V2OF11. The powder XRD pattern is calculated, not measured: it uses a DFT-relaxed cell (PBE+U, Alexandria) and Cu Kα.
No peak broadening, texture or thermal motion is included.

Top 8 peaks for 2θ from 5° to 70°, by intensity:
2θ = 21.1°, rel. 100, hkl 1 0 -1
2θ = 40.3°, rel. 90, hkl 1 0 3
2θ = 40.4°, rel. 85, hkl 2 2 0
2θ = 18.8°, rel. 83, hkl 0 1 1
2θ = 40.1°, rel. 64, hkl 2 0 0
2θ = 19.9°, rel. 52, hkl 1 1 0
2θ = 63.4°, rel. 50, hkl 0 1 6
2θ = 53.2°, rel. 50, hkl -1 2 3

Structural model:
a b c (Å): 5.109 5.497 8.802
angles (deg): 73.89 89.36 62.63
Fractional coordinates of all 20 atoms:
Li1 0.000 0.000 0.000
Li2 0.086 0.842 0.361
Li3 0.300 0.447 0.765
Li4 0.608 0.839 0.879
Li5 0.768 0.460 0.282
Li6 0.859 0.296 0.639
V1 0.316 0.360 0.130
V2 0.551 0.922 0.524
O1 0.282 0.156 0.310
F1 0.275 0.162 0.988
F2 0.289 0.129 0.657
F3 0.337 0.634 0.933
F4 0.338 0.640 0.223
F5 0.371 0.666 0.559
F6 0.726 0.145 0.819
F7 0.752 0.161 0.159
F8 0.776 0.140 0.474
F9 0.834 0.656 0.417
F10 0.838 0.645 0.721
F11 0.889 0.628 0.080